This entry pairs a crystal structure of Pr2AlSiRh6 with its simulated X-ray diffraction stick pattern. Radiation: copper Kα. Structure: DFT lattice parameters and positions (GGA-PBE).
Peak positions follow from Bragg's law for the DFT cell and can differ from measured ones.

a b c (Å): 6.4205 6.4205 6.4205
angles (deg): 120.09 119.90 90.00
Sites, in units of the cell vectors:
Pr (0.2500, 0.2500, 0.0000)
Pr (0.7500, 0.7500, 0.0000)
Al (0.5000, 0.0000, 0.5000)
Si (0.0000, 0.5000, 0.5000)
Rh (0.2460, 0.2539, 0.4999)
Rh (0.2460, 0.7460, 0.5000)
Rh (0.2460, 0.7461, 0.9920)
Rh (0.7540, 0.2539, 0.0080)
Rh (0.7540, 0.2540, 0.5000)
Rh (0.7540, 0.7461, 0.5001)

Most intense lines, 2θ = 5–70°, by intensity:
- 34.21°, I = 1000
- 39.71°, I = 631
- 57.39°, I = 352
- 68.52°, I = 256
- 68.61°, I = 128
- 57.50°, I = 70
- 27.79°, I = 57
- 49.16°, I = 24